1.
Starting from a crystal structure in the Materials Project, relaxed with PBE, the powder diffractogram of H13PtC3N3Cl2O was calculated for Cu Kα (weighted mean of Kα1 and Kα2).
Lines closer than 0.1° are merged.

Cell: 6.423 7.246 12.075 Å, 105.79 96.58 98.65°
Element x y z (fractional)
H 0.030 0.289 0.347
H 0.050 0.665 0.318
H 0.055 0.058 0.365
H 0.162 0.293 0.936
H 0.181 0.060 0.890
H 0.254 0.266 0.444
H 0.271 0.216 0.818
H 0.310 0.678 0.572
H 0.317 0.407 0.139
H 0.330 0.928 0.575
H 0.336 0.747 0.441
H 0.394 0.217 0.173
H 0.439 0.565 0.788
H 0.561 0.435 0.212
H 0.606 0.783 0.827
H 0.664 0.253 0.559
H 0.670 0.072 0.425
H 0.683 0.593 0.861
H 0.690 0.322 0.428
H 0.729 0.784 0.182
H 0.746 0.734 0.556
H 0.819 0.940 0.110
H 0.838 0.707 0.064
H 0.945 0.942 0.635
H 0.950 0.335 0.682
H 0.970 0.711 0.653
Pt 0.442 0.755 0.007
Pt 0.558 0.245 0.993
C 0.063 0.313 0.620
C 0.083 0.215 0.411
C 0.266 0.777 0.522
C 0.734 0.223 0.478
C 0.917 0.785 0.589
C 0.937 0.687 0.380
N 0.034 0.746 0.492
N 0.257 0.200 0.899
N 0.444 0.339 0.148
N 0.556 0.661 0.852
N 0.743 0.800 0.101
N 0.966 0.254 0.508
Cl 0.105 0.711 0.898
Cl 0.323 0.869 0.183
Cl 0.677 0.131 0.817
Cl 0.895 0.289 0.102
O 0.260 0.339 0.653
O 0.740 0.661 0.347

Most intense lines, 2θ from 10° to 80°, sorted by position:
Position (°2θ)	I/Imax
14.14	41
14.97	76
15.46	70
17.22	66
22.68	16
24.86	28
25.24	21
26.07	100
26.78	19
28.56	16
30.52	17
32.14	30

2.
Starting from a crystal structure in the Materials Project, relaxed with PBE, the powder diffractogram of Al2O3 was calculated for Cu Kα (weighted mean of Kα1 and Kα2).
Lines closer than 0.1° are merged.

Cell: 4.672 4.672 7.045 Å, 90.00 90.00 146.75°
Element x y z (fractional)
Al 0.000 0.000 0.000
Al 0.000 0.000 0.500
Al 0.246 0.754 0.750
Al 0.754 0.246 0.250
O 0.107 0.893 0.250
O 0.367 0.633 0.080
O 0.367 0.633 0.420
O 0.633 0.367 0.580
O 0.633 0.367 0.920
O 0.893 0.107 0.750

Most intense lines, 2θ from 10° to 80°, sorted by position:
Position (°2θ)	I/Imax
32.34	100
43.52	37
45.55	29
47.44	67
51.92	17
52.84	77
63.95	19
64.17	23
68.25	20
68.45	17
70.43	18
79.64	15

3.
Starting from a crystal structure in the Materials Project, relaxed with PBE, the powder diffractogram of Mg8Mn3N8 was calculated for Cu Kα (weighted mean of Kα1 and Kα2).
Lines closer than 0.1° are merged.

Cell: 8.515 8.515 6.583 Å, 103.67 103.67 29.82°
Element x y z (fractional)
Mg 0.026 0.026 0.242
Mg 0.196 0.196 0.799
Mg 0.337 0.337 0.527
Mg 0.404 0.404 0.033
Mg 0.596 0.596 0.967
Mg 0.663 0.663 0.473
Mg 0.804 0.804 0.201
Mg 0.974 0.974 0.758
Mn 0.187 0.187 0.210
Mn 0.500 0.500 0.500
Mn 0.813 0.813 0.790
N 0.098 0.098 0.985
N 0.167 0.167 0.459
N 0.292 0.292 0.184
N 0.472 0.472 0.741
N 0.528 0.528 0.259
N 0.708 0.708 0.816
N 0.833 0.833 0.541
N 0.902 0.902 0.015

Most intense lines, 2θ from 10° to 80°, sorted by position:
Position (°2θ)	I/Imax
19.82	26
24.50	88
26.35	57
33.70	35
34.81	34
36.36	57
39.78	30
40.23	22
40.38	31
41.21	100
47.78	32
57.78	22

4.
Starting from a crystal structure in the Materials Project, relaxed with PBE, the powder diffractogram of Ba4Si21Au2 was calculated for Cu Kα (weighted mean of Kα1 and Kα2).
Lines closer than 0.1° are merged.

Cell: 10.438 10.498 10.498 Å, 90.04 90.00 90.00°
Element x y z (fractional)
Ba 0.000 0.000 0.000
Ba 0.250 0.270 0.522
Ba 0.250 0.512 0.011
Ba 0.250 0.752 0.523
Ba 0.500 0.000 0.000
Ba 0.750 0.011 0.512
Ba 0.750 0.522 0.270
Ba 0.750 0.523 0.752
Si 0.056 0.012 0.392
Si 0.056 0.012 0.630
Si 0.065 0.325 0.829
Si 0.065 0.695 0.196
Si 0.065 0.695 0.829
Si 0.066 0.325 0.196
Si 0.132 0.510 0.710
Si 0.133 0.510 0.315
Si 0.250 0.011 0.261
Si 0.250 0.204 0.128
Si 0.250 0.205 0.895
Si 0.250 0.816 0.131
Si 0.250 0.816 0.893
Si 0.367 0.510 0.315
Si 0.368 0.510 0.710
Si 0.434 0.325 0.196
Si 0.435 0.325 0.829
Si 0.435 0.695 0.196
Si 0.435 0.695 0.829
Si 0.444 0.012 0.392
Si 0.444 0.012 0.630
Si 0.556 0.392 0.012
Si 0.556 0.630 0.012
Si 0.565 0.196 0.695
Si 0.565 0.829 0.325
Si 0.565 0.829 0.695
Si 0.566 0.196 0.325
Si 0.632 0.710 0.510
Si 0.633 0.315 0.510
Si 0.750 0.128 0.204
Si 0.750 0.131 0.816
Si 0.750 0.261 0.011
Si 0.750 0.893 0.816
Si 0.750 0.895 0.205
Si 0.867 0.315 0.510
Si 0.868 0.710 0.510
Si 0.934 0.196 0.325
Si 0.935 0.196 0.695
Si 0.935 0.829 0.325
Si 0.935 0.829 0.695
Si 0.944 0.392 0.012
Si 0.944 0.630 0.012
Au 0.000 0.512 0.512
Au 0.250 0.011 0.762
Au 0.500 0.512 0.512
Au 0.750 0.762 0.011

Most intense lines, 2θ from 10° to 80°, sorted by position:
Position (°2θ)	I/Imax
11.94	25
16.90	24
20.77	63
29.53	65
31.94	100
32.02	42
34.16	32
34.37	16
38.36	14
49.24	18
53.88	36
65.36	14

5.
Starting from a crystal structure in the Materials Project, relaxed with PBE, the powder diffractogram of TmSi3 was calculated for Cu Kα (weighted mean of Kα1 and Kα2).
Lines closer than 0.1° are merged.

Cell: 4.105 4.105 4.105 Å, 90.00 90.00 90.00°
Element x y z (fractional)
Tm 0.000 0.000 0.000
Si 0.000 0.500 0.500
Si 0.500 0.000 0.500
Si 0.500 0.500 0.000

Most intense lines, 2θ from 10° to 80°, sorted by position:
Position (°2θ)	I/Imax
21.65	93
30.80	79
37.96	100
44.12	49
49.66	43
54.78	32
64.17	32
68.58	21
72.86	14
77.05	38

6.
Starting from a crystal structure in the Materials Project, relaxed with PBE, the powder diffractogram of Na2ScSnP3O12 was calculated for Cu Kα (weighted mean of Kα1 and Kα2).
Lines closer than 0.1° are merged.

Cell: 8.897 8.897 9.185 Å, 119.08 119.08 59.56°
Element x y z (fractional)
Na 0.003 0.502 0.253
Na 0.114 0.886 0.500
Na 0.502 0.003 0.753
Na 0.886 0.114 0.000
Sc 0.150 0.641 0.690
Sc 0.641 0.150 0.190
Sn 0.359 0.851 0.301
Sn 0.851 0.359 0.801
P 0.041 0.250 0.492
P 0.250 0.041 0.992
P 0.458 0.544 0.496
P 0.544 0.458 0.996
P 0.749 0.961 0.499
P 0.961 0.749 0.999
O 0.020 0.262 0.659
O 0.069 0.417 0.516
O 0.072 0.220 0.980
O 0.127 0.774 0.171
O 0.219 0.878 0.828
O 0.220 0.072 0.480
O 0.262 0.020 0.159
O 0.280 0.578 0.516
O 0.378 0.490 0.835
O 0.417 0.069 0.016
O 0.429 0.727 0.481
O 0.490 0.378 0.335
O 0.524 0.627 0.165
O 0.578 0.280 0.016
O 0.578 0.938 0.482
O 0.627 0.524 0.665
O 0.727 0.429 0.981
O 0.729 0.993 0.340
O 0.774 0.127 0.671
O 0.788 0.922 0.018
O 0.878 0.219 0.328
O 0.922 0.788 0.518
O 0.938 0.578 0.982
O 0.993 0.729 0.840

Most intense lines, 2θ from 10° to 80°, sorted by position:
Position (°2θ)	I/Imax
13.88	59
19.37	60
19.96	36
20.09	22
23.16	41
23.28	20
28.03	29
30.95	100
34.85	14
35.09	26
47.34	21
47.59	12